Diffraction record for VCuHgF6. The X-ray diffraction stick pattern is theoretical, not measured: it uses a PBE+U-relaxed structure and Cu Kα, 1.54184 Å.

Most intense lines, 2θ from 10° to 90°, in order of rising 2θ:
2θ = 19.33°, d = 4.593 Å, I 27.1, (0 0 2)
2θ = 20.46°, d = 4.340 Å, I 44.0, (1 0 1)
2θ = 26.54°, d = 3.359 Å, I 100.0, (1 0 2)
2θ = 31.47°, d = 2.843 Å, I 67.7, (1 1 0)
2θ = 34.49°, d = 2.600 Å, I 35.2, (1 0 3)
2θ = 37.20°, d = 2.417 Å, I 36.6, (1 1 2)
2θ = 37.83°, d = 2.378 Å, I 40.1, (2 0 1)
2θ = 41.62°, d = 2.170 Å, I 28.5, (2 0 2)
2θ = 51.13°, d = 1.786 Å, I 53.0, (1 1 4)
2θ = 53.09°, d = 1.725 Å, I 29.5, (2 1 2)

Structural model:
```
VCuHgF6
1.0
5.6859 0.0000 0.0000
-2.8430 4.9241 0.0000
0.0000 0.0000 9.1853
V Cu Hg F
2 2 2 12
direct
0.3333 0.6667 0.2500
0.6667 0.3333 0.7500
0.0000 0.0000 0.0000
0.0000 0.0000 0.5000
0.3333 0.6667 0.7500
0.6667 0.3333 0.2500
0.1818 0.3635 0.1191
0.1818 0.3635 0.3809
0.1818 0.8182 0.1191
0.1818 0.8182 0.3809
0.3635 0.1818 0.6191
0.3635 0.1818 0.8809
0.6365 0.8182 0.1191
0.6365 0.8182 0.3809
0.8182 0.1818 0.6191
0.8182 0.1818 0.8809
0.8182 0.6365 0.6191
0.8182 0.6365 0.8809
```